Record 1
Structure and simulated X-ray powder pattern of ZnCoAgPd (a structure optimized by DFT (PBE); Cu Kα (weighted mean of Kα1 and Kα2)).
Peak positions follow from Bragg's law for the DFT cell and can differ from measured ones.

Structure:
a b c (Å): 4.3586 4.3586 4.3586
angles (deg): 60.00 60.00 60.00
Positions (direct):
Zn1 0.0000 0.0000 0.0000
Co1 0.2500 0.2500 0.2500
Ag1 0.5000 0.5000 0.5000
Pd1 0.7500 0.7500 0.7500

Top 6 peaks for 15 to 90 degrees two-theta, by angle:
25.02 deg, rel. 8; 41.43 deg, rel. 100; 49.01 deg, rel. 4; 60.04 deg, rel. 16; 66.07 deg, rel. 2; 75.57 deg, rel. 31

=====

Record 2
Structure and simulated X-ray powder pattern of RbCoAgS3 (a structure optimized by DFT (PBE); Cu Kα (weighted mean of Kα1 and Kα2)).
Peak positions follow from Bragg's law for the DFT cell and can differ from measured ones.

Structure:
a b c (Å): 7.8410 7.8410 9.8081
angles (deg): 90.00 90.00 154.15
Positions (direct):
Rb1 0.2388 0.7612 0.7500
Rb2 0.7612 0.2388 0.2500
Co1 0.5000 0.5000 0.0000
Co2 0.5000 0.5000 0.5000
Ag1 0.0660 0.9340 0.2500
Ag2 0.9340 0.0660 0.7500
S1 0.0985 0.9015 0.0110
S2 0.0985 0.9015 0.4890
S3 0.4468 0.5532 0.2500
S4 0.5532 0.4468 0.7500
S5 0.9015 0.0985 0.5110
S6 0.9015 0.0985 0.9890

Top 6 peaks for 15 to 90 degrees two-theta, by angle:
18.09 deg, rel. 21; 25.01 deg, rel. 22; 32.30 deg, rel. 100; 36.65 deg, rel. 45; 41.72 deg, rel. 41; 56.72 deg, rel. 21

=====

Record 3
Structure and simulated X-ray powder pattern of Zn2Co3Ag3 (a structure optimized by DFT (PBE); Cu Kα (weighted mean of Kα1 and Kα2)).
Peak positions follow from Bragg's law for the DFT cell and can differ from measured ones.

Structure:
a b c (Å): 5.4605 5.4605 4.4798
angles (deg): 90.00 90.00 120.00
Positions (direct):
Zn1 0.0000 0.0000 0.0000
Zn2 0.3333 0.6667 0.5000
Co1 0.0354 0.5177 0.0000
Co2 0.4823 0.5177 0.0000
Co3 0.4823 0.9646 0.0000
Ag1 0.3372 0.1686 0.5000
Ag2 0.8314 0.1686 0.5000
Ag3 0.8314 0.6628 0.5000

Top 6 peaks for 15 to 90 degrees two-theta, by angle:
38.06 deg, rel. 28; 40.26 deg, rel. 28; 43.27 deg, rel. 100; 56.60 deg, rel. 17; 75.27 deg, rel. 18; 82.80 deg, rel. 17